No. 1
Calculated X-ray powder pattern of Na3SiSnCO7 for Cu Kα (weighted mean of Kα1 and Kα2), from a DFT-relaxed cell (GGA-PBE, the Materials Project).

Cell and atoms:
```
26
Lattice="5.223 0.000 0.000 0.000 6.920 0.000 -0.120 0.000 9.339" Properties=species:S:1:pos:R:3 pbc="T T T"
Na 1.192 1.730 3.871
Na 1.218 3.511 7.063
Na 1.218 6.868 7.063
Na 3.885 0.051 2.276
Na 3.885 3.409 2.276
Na 3.912 5.190 5.468
Si 1.526 1.730 0.839
Si 3.577 5.190 8.500
Sn 1.146 5.190 1.254
Sn 3.958 1.730 8.085
C 1.340 5.190 4.159
C 3.764 1.730 5.180
O 0.180 5.190 3.551
O 0.821 1.730 8.625
O 1.033 0.431 1.737
O 1.033 3.029 1.737
O 1.401 5.190 5.449
O 1.919 5.190 8.587
O 2.440 5.190 3.454
O 2.664 1.730 5.885
O 3.185 1.730 0.752
O 3.703 1.730 3.890
O 4.071 3.891 7.602
O 4.071 6.489 7.602
O 4.282 5.190 0.714
O 4.924 1.730 5.788
```

Peak list (8 most intense, 10° ≤ 2θ ≤ 80°, in order of rising 2θ)
2θ/deg, d [Å], I/Imax
15.94, 5.560, 45
21.31, 4.169, 40
25.75, 3.460, 100
32.42, 2.761, 34
32.55, 2.750, 32
34.34, 2.611, 47
35.82, 2.507, 39
46.95, 1.935, 40

No. 2
Calculated X-ray powder pattern of Zn2Hg3S4I2 for Cu Kα (weighted mean of Kα1 and Kα2), from a DFT-relaxed cell (GGA-PBE, the Materials Project).

Cell and atoms:
```
22
Lattice="6.172 -6.866 0.000 6.172 6.866 0.000 0.000 0.000 9.368" Properties=species:S:1:pos:R:3 pbc="T T T"
Zn 6.172 6.086 7.026
Zn 3.031 0.000 0.000
Zn 9.313 0.000 4.684
Zn 6.172 -6.086 2.342
Hg 4.585 3.942 1.554
Hg 7.759 3.942 3.130
Hg 6.172 1.741 2.342
Hg 6.172 -1.741 7.026
Hg 4.585 -3.942 7.814
Hg 7.759 -3.942 6.238
S 1.681 0.191 5.705
S 1.681 -0.191 3.663
S 5.126 0.331 8.351
S 5.126 -0.331 1.017
S 7.218 0.331 5.700
S 7.218 -0.331 3.667
S 10.662 0.191 8.347
S 10.662 -0.191 1.021
I 4.590 4.737 5.242
I 7.753 4.737 8.809
I 4.590 -4.737 4.126
I 7.753 -4.737 0.558
```

Peak list (8 most intense, 10° ≤ 2θ ≤ 80°, in order of rising 2θ)
2θ/deg, d [Å], I/Imax
13.51, 6.556, 100
21.30, 4.172, 49
21.56, 4.122, 21
27.20, 3.278, 27
29.18, 3.060, 21
32.13, 2.786, 22
34.76, 2.581, 23
40.62, 2.221, 25